Computed X-ray powder pattern
Compound: Na2Y2AlInAu2
Radiation: λ = 1.5418 Å (Cu Kα)
Structure: the PBE geometry in OQMD

Crystal structure
```
data_Na2Y2AlInAu2
_chemical_formula_sum 'Na2 Y2 Al1 In1 Au2'
_cell_length_a 4.9147
_cell_length_b 4.9147
_cell_length_c 6.9628
_cell_angle_alpha 90.00
_cell_angle_beta 90.00
_cell_angle_gamma 90.00
_space_group_name_H-M_alt 'P -4 m 2'
_space_group_IT_number 115
loop_
_space_group_symop_operation_xyz
'x,y,z'
'y,-x,-z'
'-x,-y,z'
'-y,x,-z'
'-x,y,z'
'-y,-x,-z'
'x,-y,z'
'y,x,-z'
loop_
_atom_site_label
_atom_site_type_symbol
_atom_site_fract_x
_atom_site_fract_y
_atom_site_fract_z
_atom_site_occupancy
Na1 Na 0.0000 0.5000 0.2428 1
Y1 Y 0.0000 0.0000 0.5000 1
Y2 Y 0.5000 0.5000 0.0000 1
Al1 Al 0.0000 0.0000 0.0000 1
In1 In 0.5000 0.5000 0.5000 1
Au1 Au 0.0000 0.5000 0.7643 1
```

The 10 most intense peaks (2θ = 10–90°), low angle first:
| index | d [Å] | I (rel.) |
| --- | --- | --- |
| 1 0 1 | 4.015 | 48 |
| 2 0 0 | 2.459 | 100 |
| 2 1 1 | 2.097 | 26 |
| 2 2 0 | 1.739 | 17 |
| 3 0 1 | 1.595 | 11 |
| 3 1 2 | 1.420 | 34 |
| 4 0 0 | 1.229 | 11 |
| 3 2 3 | 1.176 | 5 |
| 1 1 6 | 1.101 | 5 |
| 4 2 0 | 1.099 | 11 |